For Co10Ni4Ir, a cell relaxed with PBE gives the theoretical PXRD pattern in this record (a wavelength of 1.5418 Å).
Intensities are scaled so that the largest is 100.

Structural model:
```
data_Co10Ni4Ir
_symmetry_space_group_name_H-M 'I 4/m m m'
_symmetry_Int_Tables_number 139
_symmetry_space_group_name_Hall '-I 4 2'
_cell_length_a 8.011
_cell_length_b 8.011
_cell_length_c 5.742
_cell_angle_alpha 90.00
_cell_angle_beta 90.00
_cell_angle_gamma 90.00
loop_
_atom_site_label
_atom_site_fract_x
_atom_site_fract_y
_atom_site_fract_z
Co1 0.000 0.219 0.197
Co2 0.000 0.500 0.250
Ni1 0.228 0.228 0.500
Ir1 0.000 0.000 0.500
```

Principal peaks in the range 2θ = 15–90°, sorted by position:
2θ (°)  I_rel
15.64  44.4
19.02  32.3
29.38  66.1
35.04  26.8
43.68  83.5
44.96  98.9
45.28  100.0
47.89  50.7
48.93  39.4
58.50  32.4



For Tb6Ho2ErTm, a cell relaxed with PBE gives the theoretical PXRD pattern in this record (a wavelength of 1.5418 Å).
Intensities are scaled so that the largest is 100.

Structural model:
```
data_Tb6Ho2ErTm
_symmetry_space_group_name_H-M 'C 1 2/c 1'
_symmetry_Int_Tables_number 15
_cell_length_a 9.001
_cell_length_b 14.958
_cell_length_c 9.502
_cell_angle_alpha 90.00
_cell_angle_beta 97.78
_cell_angle_gamma 90.00
loop_
_symmetry_equiv_pos_as_xyz
'x,y,z'
'-x,-y,-z'
'-x,y,-z+1/2'
'x,-y,z+1/2'
'x+1/2,y+1/2,z'
'-x+1/2,-y+1/2,-z'
'-x+1/2,y+1/2,-z+1/2'
'x+1/2,-y+1/2,z+1/2'
loop_
_atom_site_label
_atom_site_fract_x
_atom_site_fract_y
_atom_site_fract_z
Tb1 0.061 0.185 0.445
Tb2 0.103 0.393 0.620
Tb3 0.207 0.224 0.814
Ho1 0.250 0.052 0.044
Er1 0.000 0.023 0.750
Tm1 0.000 0.409 0.250
```

Principal peaks in the range 2θ = 15–90°, sorted by position:
2θ (°)  I_rel
28.28  17.9
28.84  38.6
30.89  100.0
31.54  44.8
31.81  98.9
32.58  20.4
34.10  44.7
34.79  14.4
51.30  11.8
56.91  13.6